# 1
Diffraction record for NdTh. The XRD peak list is theoretical, not measured: it uses the PBE geometry in Alexandria and λ = 1.5418 Å (Cu Kα).

Atomic structure:
```
data_NdTh
_cell_length_a 6.253
_cell_length_b 3.612
_cell_length_c 11.975
_cell_angle_alpha 90.00
_cell_angle_beta 90.00
_cell_angle_gamma 90.00
_symmetry_space_group_name_H-M 'C 1 2/m 1'
_symmetry_Int_Tables_number 12
_symmetry_space_group_name_Hall '-C 2y'
loop_
_atom_site_label
_atom_site_type_symbol
_atom_site_fract_x
_atom_site_fract_y
_atom_site_fract_z
Nd1 Nd 0.167 0.000 0.371
Th1 Th 0.167 0.000 0.879
```

Main lines, sorted by position (15 to 90 degrees two-theta):
h k l	2θ/deg	intensity
2 0 0	28.54	23
0 0 4	29.84	27
1 1 2	32.29	100
2 0 4	41.77	17
3 1 0	50.55	19
1 1 6	54.54	23
3 1 4	59.81	23
4 0 2	61.27	16
4 2 2	83.33	14
0 2 8	83.98	9

# 2
Diffraction record for TlHg6. The XRD peak list is theoretical, not measured: it uses the PBE geometry in Alexandria and λ = 1.5418 Å (Cu Kα).

Atomic structure:
```
data_TlHg6
_cell_length_a 5.085
_cell_length_b 5.085
_cell_length_c 8.381
_cell_angle_alpha 90.00
_cell_angle_beta 90.00
_cell_angle_gamma 90.00
_symmetry_space_group_name_H-M 'P 4/m m m'
_symmetry_Int_Tables_number 123
_symmetry_space_group_name_Hall '-P 4 2'
loop_
_atom_site_label
_atom_site_type_symbol
_atom_site_fract_x
_atom_site_fract_y
_atom_site_fract_z
Tl1 Tl 0.000 0.000 0.000
Hg1 Hg 0.000 0.000 0.500
Hg2 Hg 0.000 0.500 0.242
Hg3 Hg 0.500 0.500 0.500
```

Main lines, sorted by position (15 to 90 degrees two-theta):
h k l	2θ/deg	intensity
1 1 2	32.82	100
2 0 0	35.30	42
0 0 4	43.18	12
2 2 0	50.78	15
2 0 4	56.95	21
3 1 2	61.79	33
2 2 4	68.81	12
1 1 6	72.61	10
3 3 2	83.98	7
4 2 0	85.37	7

Copy entry 1 word for word.
Diffraction record for NdTh. The XRD peak list is theoretical, not measured: it uses the PBE geometry in Alexandria and λ = 1.5418 Å (Cu Kα).

Atomic structure:
```
data_NdTh
_cell_length_a 6.253
_cell_length_b 3.612
_cell_length_c 11.975
_cell_angle_alpha 90.00
_cell_angle_beta 90.00
_cell_angle_gamma 90.00
_symmetry_space_group_name_H-M 'C 1 2/m 1'
_symmetry_Int_Tables_number 12
_symmetry_space_group_name_Hall '-C 2y'
loop_
_atom_site_label
_atom_site_type_symbol
_atom_site_fract_x
_atom_site_fract_y
_atom_site_fract_z
Nd1 Nd 0.167 0.000 0.371
Th1 Th 0.167 0.000 0.879
```

Main lines, sorted by position (15 to 90 degrees two-theta):
h k l	2θ/deg	intensity
2 0 0	28.54	23
0 0 4	29.84	27
1 1 2	32.29	100
2 0 4	41.77	17
3 1 0	50.55	19
1 1 6	54.54	23
3 1 4	59.81	23
4 0 2	61.27	16
4 2 2	83.33	14
0 2 8	83.98	9